# SrMnPbO4
Simulated X-ray diffraction stick pattern, a wavelength of 1.5418 Å. Input: a cell relaxed with GGA+U.
Lines closer than 0.1° are merged.

Structural model:
Unit cell a=6.188 b=6.024 c=7.129 alpha=90.00 beta=113.03 gamma=90.00
Sites, in units of the cell vectors:
Sr (0.233, 0.250, 0.461)
Sr (0.767, 0.750, 0.539)
Mn (0.208, 0.750, 0.198)
Mn (0.792, 0.250, 0.802)
Pb (0.347, 0.250, 0.023)
Pb (0.653, 0.750, 0.977)
O (0.003, 0.250, 0.684)
O (0.004, 0.750, 0.935)
O (0.427, 0.528, 0.279)
O (0.427, 0.972, 0.279)
O (0.573, 0.028, 0.721)
O (0.573, 0.472, 0.721)
O (0.996, 0.250, 0.065)
O (0.997, 0.750, 0.316)

Top 12 peaks for 2θ from 15° to 90°, sorted by position:
2theta	Rel. int.	hkl
21.47	89	1 1 0
24.38	40	1 0 1
27.18	25	0 0 2
29.55	100	1 1 -2
29.66	65	0 2 0
32.57	51	2 1 -1
34.85	27	2 1 0
35.93	33	2 1 -2
38.75	21	1 2 1
39.61	33	1 1 2
40.66	30	0 2 2
52.56	21	1 3 -2